# 1
Structure and calculated powder X-ray diffraction pattern of Sc6Ni2H (DFT lattice parameters and positions (PBE); Cu Ka).
Peak positions follow from Bragg's law for the DFT cell and can differ from measured ones.

Peak list (8 most intense, 15 to 90 degrees two-theta, in order of rising 2θ)
hkl 1 1 0, 2θ 22.94, I = 53; hkl 2 1 -2, 2θ 33.63, I = 69; hkl 0 2 2, 2θ 34.76, I = 100; hkl 2 1 -1, 2θ 35.11, I = 73; hkl 2 1 -3, 2θ 35.22, I = 65; hkl 2 0 -4, 2θ 36.84, I = 81; hkl 1 2 1, 2θ 38.08, I = 85; hkl 0 2 3, 2θ 41.78, I = 71

Atomic structure:
```
data_Sc6Ni2H
_chemical_formula_sum 'Sc12 Ni4 H2'
_cell_length_a 5.8724
_cell_length_b 6.3550
_cell_length_c 10.5934
_cell_angle_alpha 90.00
_cell_angle_beta 123.33
_cell_angle_gamma 90.00
_symmetry_space_group_name_H-M 'P 1 21/c 1'
_symmetry_Int_Tables_number 14
loop_
_symmetry_equiv_pos_as_xyz
'x,y,z'
'-x,-y,-z'
'-x,y+1/2,-z+1/2'
'x,-y+1/2,z+1/2'
loop_
_atom_site_label
_atom_site_type_symbol
_atom_site_fract_x
_atom_site_fract_y
_atom_site_fract_z
Sc1 Sc 0.1181 0.1824 0.4387
Sc2 Sc 0.2554 0.6777 0.4379
Sc3 Sc 0.3783 0.0286 0.2483
Ni1 Ni 0.2008 0.1026 0.7489
H1 H 0.5000 0.0000 0.5000
```

---

# 2
Structure and calculated powder X-ray diffraction pattern of Sc5TiCo6 (DFT lattice parameters and positions (PBE); Cu Ka).
Peak positions follow from Bragg's law for the DFT cell and can differ from measured ones.

Peak list (8 most intense, 15 to 90 degrees two-theta, in order of rising 2θ)
hkl 1 3 0, 2θ 28.88, I = 3; hkl 1 3 2, 2θ 41.16, I = 100; hkl 2 0 0, 2θ 41.30, I = 50; hkl 0 0 4, 2θ 59.41, I = 8; hkl 2 6 0, 2θ 59.83, I = 15; hkl 2 0 4, 2θ 74.92, I = 14; hkl 3 3 2, 2θ 75.21, I = 28; hkl 2 6 4, 2θ 89.34, I = 9

Atomic structure:
```
data_Sc5TiCo6
_chemical_formula_sum 'Sc10 Ti2 Co12'
_cell_length_a 4.3693
_cell_length_b 13.1236
_cell_length_c 6.2233
_cell_angle_alpha 90.00
_cell_angle_beta 90.00
_cell_angle_gamma 90.00
_symmetry_space_group_name_H-M 'C m m m'
_symmetry_Int_Tables_number 65
_symmetry_space_group_name_Hall '-C 2 2'
loop_
_atom_site_label
_atom_site_type_symbol
_atom_site_fract_x
_atom_site_fract_y
_atom_site_fract_z
Sc1 Sc 0.0000 0.0000 0.0000
Sc2 Sc 0.0000 0.3331 0.0000
Sc3 Sc 0.0000 0.3336 0.5000
Ti1 Ti 0.0000 0.0000 0.5000
Co1 Co 0.0000 0.1608 0.2569
Co2 Co 0.0000 0.5000 0.2643
```